Record 1
This entry pairs a crystal structure of CrAgS2 with its computed PXRD pattern. Radiation: Cu Kα (weighted mean of Kα1 and Kα2). Structure: a crystal structure in the Materials Project, relaxed with PBE.
Kinematic intensities with the Lorentz-polarization factor, no thermal factor.

Structure:
```
CrAgS2
1.0
1.713 0.989 7.197
-1.713 0.989 7.197
0.000 -1.978 7.197
Cr Ag S
1 1 2
direct
0.000 0.000 0.000
0.157 0.157 0.157
0.271 0.271 0.271
0.404 0.404 0.404
```

Largest 10 diffraction maxima, by angle, 2θ from 10° to 90°:
2theta  I (rel.)
12.30  142
24.74  264
30.41  1000
31.26  135
34.49  194
36.75  305
42.27  480
45.43  383
53.49  347
59.79  129

Record 2
This entry pairs a crystal structure of Cr2AgS4 with its computed PXRD pattern. Radiation: Cu Kα (weighted mean of Kα1 and Kα2). Structure: a crystal structure in the Materials Project, relaxed with PBE.
Kinematic intensities with the Lorentz-polarization factor, no thermal factor.

Structure:
```
Cr2AgS4
1.0
11.073 0.000 0.000
0.000 3.486 0.000
0.000 0.000 12.583
Cr Ag S
8 4 16
direct
0.058 0.250 0.117
0.087 0.250 0.597
0.413 0.750 0.097
0.442 0.750 0.617
0.558 0.250 0.383
0.587 0.250 0.903
0.913 0.750 0.403
0.942 0.750 0.883
0.246 0.250 0.330
0.254 0.750 0.830
0.746 0.250 0.170
0.754 0.750 0.670
0.036 0.750 0.713
0.082 0.250 0.931
0.115 0.750 0.469
0.200 0.750 0.153
0.300 0.250 0.653
0.385 0.250 0.969
0.418 0.750 0.431
0.464 0.250 0.213
0.536 0.750 0.787
0.582 0.250 0.569
0.615 0.750 0.031
0.700 0.750 0.347
0.800 0.250 0.847
0.885 0.250 0.531
0.918 0.750 0.069
0.964 0.250 0.287
```

Largest 10 diffraction maxima, by angle, 2θ from 10° to 90°:
2theta  I (rel.)
21.38  342
26.54  320
28.03  775
34.42  1000
35.43  331
36.16  491
41.65  535
42.31  471
51.17  320
52.51  343

Record 3
This entry pairs a crystal structure of Cr2AgS4 with its computed PXRD pattern. Radiation: Cu Kα (weighted mean of Kα1 and Kα2). Structure: a crystal structure in the Materials Project, relaxed with PBE.
Kinematic intensities with the Lorentz-polarization factor, no thermal factor.

Structure:
```
Cr2AgS4
1.0
6.428 0.000 0.000
0.007 7.555 0.000
1.097 1.720 12.290
Cr Ag S
8 4 16
direct
0.123 0.443 0.210
0.141 0.948 0.212
0.256 0.612 0.501
0.347 0.796 0.789
0.653 0.204 0.211
0.744 0.388 0.499
0.859 0.052 0.788
0.877 0.557 0.790
0.251 0.125 0.499
0.388 0.290 0.800
0.612 0.710 0.200
0.749 0.875 0.501
0.085 0.421 0.392
0.124 0.882 0.389
0.169 0.013 0.855
0.182 0.548 0.863
0.257 0.712 0.137
0.323 0.211 0.155
0.376 0.824 0.613
0.412 0.364 0.595
0.588 0.636 0.405
0.624 0.176 0.387
0.677 0.789 0.845
0.743 0.288 0.863
0.818 0.452 0.137
0.831 0.987 0.145
0.876 0.118 0.611
0.915 0.579 0.608
```

Largest 10 diffraction maxima, by angle, 2θ from 10° to 90°:
2theta  I (rel.)
21.69  1000
27.49  374
27.88  275
28.97  278
29.17  290
29.45  306
33.51  276
33.94  509
48.18  266
48.87  480

Record 4
This entry pairs a crystal structure of CrAgS2 with its computed PXRD pattern. Radiation: Cu Kα (weighted mean of Kα1 and Kα2). Structure: a crystal structure in the Materials Project, relaxed with PBE.
Kinematic intensities with the Lorentz-polarization factor, no thermal factor.

Structure:
```
CrAgS2
1.0
1.499 0.866 9.210
-1.499 0.866 9.210
0.000 -1.731 9.210
Cr Ag S
1 1 2
direct
0.000 0.000 0.000
0.832 0.832 0.832
0.613 0.613 0.613
0.720 0.720 0.720
```

Largest 10 diffraction maxima, by angle, 2θ from 10° to 90°:
2theta  I (rel.)
19.27  947
29.09  288
34.70  1000
36.98  217
38.30  564
41.63  398
43.61  366
48.09  336
50.56  259
61.89  303

Record 5
This entry pairs a crystal structure of Cr2AgS4 with its computed PXRD pattern. Radiation: Cu Kα (weighted mean of Kα1 and Kα2). Structure: a crystal structure in the Materials Project, relaxed with PBE.
Kinematic intensities with the Lorentz-polarization factor, no thermal factor.

Structure:
```
Cr2AgS4
1.0
6.906 -1.739 0.000
6.906 1.739 0.000
-2.399 0.000 5.398
Cr Ag S
2 1 4
direct
0.241 0.241 0.223
0.759 0.759 0.777
0.500 0.500 0.500
0.153 0.153 0.496
0.362 0.362 0.026
0.638 0.638 0.974
0.847 0.847 0.504
```

Largest 10 diffraction maxima, by angle, 2θ from 10° to 90°:
2theta  I (rel.)
16.42  377
16.72  534
26.59  332
29.81  440
33.23  398
41.31  1000
41.82  391
42.42  385
52.66  298
53.49  471

Record 6
This entry pairs a crystal structure of Cr2AgS4 with its computed PXRD pattern. Radiation: Cu Kα (weighted mean of Kα1 and Kα2). Structure: a crystal structure in the Materials Project, relaxed with PBE.
Kinematic intensities with the Lorentz-polarization factor, no thermal factor.

Structure:
```
Cr2AgS4
1.0
11.644 0.000 0.000
0.000 3.494 0.000
0.000 0.000 11.940
Cr Ag S
8 4 16
direct
0.104 0.250 0.080
0.151 0.250 0.710
0.349 0.750 0.210
0.396 0.750 0.580
0.604 0.250 0.420
0.651 0.250 0.790
0.849 0.750 0.290
0.896 0.750 0.920
0.130 0.750 0.409
0.370 0.250 0.909
0.630 0.750 0.091
0.870 0.250 0.591
0.035 0.250 0.883
0.050 0.750 0.623
0.210 0.250 0.252
0.236 0.750 0.040
0.264 0.250 0.540
0.290 0.750 0.752
0.450 0.250 0.123
0.465 0.750 0.383
0.535 0.250 0.617
0.550 0.750 0.877
0.710 0.250 0.248
0.736 0.750 0.460
0.764 0.250 0.960
0.790 0.750 0.748
0.950 0.250 0.377
0.965 0.750 0.117
```

Largest 10 diffraction maxima, by angle, 2θ from 10° to 90°:
2theta  I (rel.)
10.61  261
27.14  988
27.68  317
30.67  362
33.46  300
33.74  267
35.37  1000
37.78  784
46.73  467
52.41  642

Record 7
This entry pairs a crystal structure of Cr2AgS4 with its computed PXRD pattern. Radiation: Cu Kα (weighted mean of Kα1 and Kα2). Structure: a crystal structure in the Materials Project, relaxed with PBE.
Kinematic intensities with the Lorentz-polarization factor, no thermal factor.

Structure:
```
Cr2AgS4
1.0
6.886 0.000 0.000
0.000 13.147 0.000
0.000 0.000 5.912
Cr Ag S
8 4 16
direct
0.000 0.000 0.000
0.000 0.500 0.000
0.250 0.005 0.493
0.250 0.495 0.493
0.500 0.000 0.000
0.500 0.500 0.000
0.750 0.505 0.507
0.750 0.995 0.507
0.250 0.250 0.851
0.250 0.750 0.536
0.750 0.250 0.464
0.750 0.750 0.149
0.001 0.103 0.667
0.001 0.397 0.667
0.250 0.101 0.159
0.250 0.399 0.159
0.250 0.598 0.826
0.250 0.902 0.826
0.499 0.103 0.667
0.499 0.397 0.667
0.501 0.603 0.333
0.501 0.897 0.333
0.750 0.098 0.174
0.750 0.402 0.174
0.750 0.601 0.841
0.750 0.899 0.841
0.999 0.603 0.333
0.999 0.897 0.333
```

Largest 10 diffraction maxima, by angle, 2θ from 10° to 90°:
2theta  I (rel.)
20.93  1000
24.02  316
28.47  492
29.28  337
36.50  596
36.67  512
40.90  855
41.07  403
53.21  287
53.58  508

Record 8
This entry pairs a crystal structure of CrAgS2 with its computed PXRD pattern. Radiation: Cu Kα (weighted mean of Kα1 and Kα2). Structure: a crystal structure in the Materials Project, relaxed with PBE.
Kinematic intensities with the Lorentz-polarization factor, no thermal factor.

Structure:
```
CrAgS2
1.0
3.062 -1.771 0.000
3.062 1.771 0.000
-2.017 0.000 6.819
Cr Ag S
1 1 2
direct
0.000 0.000 0.000
0.154 0.154 0.462
0.274 0.274 0.819
0.731 0.731 0.197
```

Largest 10 diffraction maxima, by angle, 2θ from 10° to 90°:
2theta  I (rel.)
12.98  160
26.14  314
29.47  1000
30.45  587
36.64  376
42.70  509
42.86  250
46.24  315
51.66  496
69.23  164